Record 1
This entry pairs a crystal structure of SrLaAgN with its theoretical X-ray diffraction stick pattern. Radiation: a wavelength of 1.5418 Å. Structure: a DFT-relaxed cell (PBE, OQMD).
Intensities are scaled so that the largest is 100.

Peak list (6 most intense, 2θ from 10° to 80°, in order of rising 2θ)
2θ 29.10, 3.068 Å, I 100
2θ 32.79, 2.731 Å, I 73
2θ 32.93, 2.720 Å, I 69
2θ 34.15, 2.626 Å, I 53
2θ 37.23, 2.415 Å, I 31
2θ 48.17, 1.889 Å, I 46

Structural model:
```
16
Lattice="3.857 0.000 0.000 0.000 19.183 0.000 0.000 0.000 5.252" Properties=species:S:1:pos:R:3 pbc="T T T"
Sr 0.000 1.840 1.313
Sr 0.000 17.344 3.939
Sr 1.928 7.752 3.939
Sr 1.928 11.432 1.313
La 0.000 5.577 1.313
La 0.000 13.607 3.939
La 1.928 4.015 3.939
La 1.928 15.168 1.313
Ag 0.000 8.851 1.313
Ag 0.000 10.333 3.939
Ag 1.928 0.741 3.939
Ag 1.928 18.442 1.313
N 0.000 5.479 3.939
N 0.000 13.705 1.313
N 1.928 4.113 1.313
N 1.928 15.071 3.939
```



Record 2
This entry pairs a crystal structure of LaZrAgN with its theoretical X-ray diffraction stick pattern. Radiation: a wavelength of 1.5418 Å. Structure: a DFT-relaxed cell (PBE, OQMD).
Intensities are scaled so that the largest is 100.

Peak list (6 most intense, 2θ from 10° to 80°, in order of rising 2θ)
2θ 32.43, 2.761 Å, I 96
2θ 33.77, 2.654 Å, I 100
2θ 34.32, 2.613 Å, I 62
2θ 35.00, 2.564 Å, I 38
2θ 39.33, 2.291 Å, I 46
2θ 53.17, 1.723 Å, I 34

Structural model:
```
16
Lattice="3.514 0.000 0.000 0.000 19.540 0.000 0.000 0.000 4.582" Properties=species:S:1:pos:R:3 pbc="T T T"
La 0.000 2.140 1.145
La 0.000 17.399 3.436
La 1.757 7.630 3.436
La 1.757 11.910 1.145
Zr 0.000 5.513 1.145
Zr 0.000 14.026 3.436
Zr 1.757 4.256 3.436
Zr 1.757 15.283 1.145
Ag 0.000 8.889 1.145
Ag 0.000 10.650 3.436
Ag 1.757 0.880 3.436
Ag 1.757 18.659 1.145
N 0.000 5.710 3.436
N 0.000 13.830 1.145
N 1.757 4.060 1.145
N 1.757 15.480 3.436
```



Record 3
This entry pairs a crystal structure of LaNdAg2 with its theoretical X-ray diffraction stick pattern. Radiation: a wavelength of 1.5418 Å. Structure: a DFT-relaxed cell (PBE, OQMD).
Intensities are scaled so that the largest is 100.

Peak list (6 most intense, 2θ from 10° to 80°, in order of rising 2θ)
2θ 26.45, 3.370 Å, I 38
2θ 30.03, 2.975 Å, I 86
2θ 32.31, 2.771 Å, I 61
2θ 33.67, 2.662 Å, I 89
2θ 36.96, 2.432 Å, I 58
2θ 37.35, 2.408 Å, I 100

Structural model:
```
8
Lattice="4.865 0.000 0.000 0.000 5.961 0.000 0.000 0.000 7.521" Properties=species:S:1:pos:R:3 pbc="T T T"
La 0.000 0.699 0.000
La 0.000 5.263 3.761
Nd 2.432 2.289 2.678
Nd 2.432 3.672 6.439
Ag 0.000 2.307 4.788
Ag 0.000 3.654 1.028
Ag 2.432 0.702 5.389
Ag 2.432 5.259 1.629
```



Record 4
This entry pairs a crystal structure of LaNdAg2Se2O2 with its theoretical X-ray diffraction stick pattern. Radiation: a wavelength of 1.5418 Å. Structure: a DFT-relaxed cell (PBE, OQMD).
Intensities are scaled so that the largest is 100.

Peak list (6 most intense, 2θ from 10° to 80°, in order of rising 2θ)
2θ 28.97, 3.082 Å, I 100
2θ 32.30, 2.771 Å, I 62
2θ 36.46, 2.465 Å, I 61
2θ 44.13, 2.052 Å, I 55
2θ 50.16, 1.819 Å, I 36
2θ 53.66, 1.708 Å, I 35

Structural model:
```
8
Lattice="4.104 0.000 0.000 0.000 4.104 0.000 0.000 0.000 9.334" Properties=species:S:1:pos:R:3 pbc="T T T"
La 0.000 0.000 0.000
Nd 2.052 2.052 6.957
Ag 0.000 2.052 3.473
Ag 2.052 0.000 3.473
Se 0.000 0.000 5.357
Se 2.052 2.052 1.605
O 0.000 2.052 8.124
O 2.052 0.000 8.124
```



Record 5
This entry pairs a crystal structure of LaNd2Ag5S6 with its theoretical X-ray diffraction stick pattern. Radiation: a wavelength of 1.5418 Å. Structure: a DFT-relaxed cell (PBE, OQMD).
Intensities are scaled so that the largest is 100.

Peak list (6 most intense, 2θ from 10° to 80°, in order of rising 2θ)
2θ 21.50, 4.134 Å, I 24
2θ 23.57, 3.775 Å, I 24
2θ 27.25, 3.273 Å, I 32
2θ 32.08, 2.790 Å, I 100
2θ 45.75, 1.983 Å, I 29
2θ 67.12, 1.395 Å, I 25

Structural model:
```
14
Lattice="6.834 -1.961 0.000 6.834 1.961 0.000 -2.257 0.000 12.095" Properties=species:S:1:pos:R:3 pbc="T T T"
La 0.000 0.000 0.000
Nd 3.502 0.000 2.277
Nd 7.910 0.000 9.818
Ag 0.897 0.000 5.658
Ag 4.503 0.000 8.557
Ag 5.706 0.000 6.048
Ag 6.909 0.000 3.538
Ag 10.515 0.000 6.437
S -0.986 0.000 9.589
S 2.068 0.000 7.968
S 2.549 0.000 11.487
S 8.864 0.000 0.608
S 9.344 0.000 4.127
S 12.398 0.000 2.506
```



Record 6
This entry pairs a crystal structure of LaNdAg2Sn2 with its theoretical X-ray diffraction stick pattern. Radiation: a wavelength of 1.5418 Å. Structure: a DFT-relaxed cell (PBE, OQMD).
Intensities are scaled so that the largest is 100.

Peak list (6 most intense, 2θ from 10° to 80°, in order of rising 2θ)
2θ 31.67, 2.825 Å, I 100
2θ 37.26, 2.413 Å, I 77
2θ 41.42, 2.180 Å, I 15
2θ 49.69, 1.835 Å, I 28
2θ 61.82, 1.501 Å, I 18
2θ 63.72, 1.461 Å, I 27

Structural model:
```
6
Lattice="4.826 0.000 0.000 -2.413 4.179 0.000 0.000 0.000 7.666" Properties=species:S:1:pos:R:3 pbc="T T T"
La 0.000 0.000 0.000
Nd 0.000 0.000 3.838
Ag 0.000 2.786 5.326
Ag 2.413 1.393 1.592
Sn 0.000 2.786 2.173
Sn 2.413 1.393 5.957
```